Entry 1:
IrS2Cl3O7: computed X-ray powder pattern (Cu Ka), based on a structure optimized by DFT (PBE).

Most intense lines, 2θ = 15–90°, by angle:
2θ/deg  I_rel
15.24  71
16.36  31
18.42  100
19.32  29
19.66  36
20.20  26
20.51  29
21.42  94
27.70  40
27.83  28
28.78  39
29.28  31

Crystal structure
```
IrS2Cl3O7
1.0
9.672 0.000 0.000
0.000 9.638 0.000
-1.050 0.000 9.877
Ir S Cl O
2 4 6 14
direct
0.195 0.250 0.408
0.805 0.750 0.592
0.147 0.750 0.742
0.455 0.250 0.140
0.545 0.750 0.860
0.853 0.250 0.258
0.213 0.018 0.360
0.213 0.482 0.360
0.419 0.250 0.493
0.581 0.750 0.507
0.787 0.518 0.640
0.787 0.982 0.640
0.005 0.250 0.269
0.102 0.250 0.553
0.210 0.669 0.616
0.210 0.831 0.616
0.308 0.250 0.097
0.472 0.621 0.840
0.472 0.879 0.840
0.528 0.121 0.160
0.528 0.379 0.160
0.692 0.750 0.903
0.790 0.169 0.384
0.790 0.331 0.384
0.898 0.750 0.447
0.995 0.750 0.731
```

=====

Entry 2:
CaPbF6: computed X-ray powder pattern (Cu Ka), based on a structure optimized by DFT (PBE).

Most intense lines, 2θ = 15–90°, by angle:
2θ/deg  I_rel
17.61  60
20.36  100
28.95  43
34.09  34
41.40  25
45.31  14
46.56  44
51.30  19
54.67  14
59.98  15
63.04  14
64.04  21

Crystal structure
```
CaPbF6
1.0
0.000 4.362 4.362
4.362 0.000 4.362
4.362 4.362 0.000
Ca Pb F
1 1 6
direct
0.000 0.000 0.000
0.500 0.500 0.500
0.260 0.260 0.740
0.260 0.740 0.260
0.260 0.740 0.740
0.740 0.260 0.260
0.740 0.260 0.740
0.740 0.740 0.260
```

=====

Entry 3:
Sr4Bi2O: computed X-ray powder pattern (Cu Ka), based on a structure optimized by DFT (PBE).

Most intense lines, 2θ = 15–90°, by angle:
2θ/deg  I_rel
18.27  24
20.00  15
23.16  22
24.95  44
26.92  41
30.20  25
30.78  18
32.18  100
35.57  59
47.34  28
51.18  21
61.76  32

Crystal structure
```
Sr4Bi2O
1.0
-2.524 2.524 8.878
2.524 -2.524 8.878
2.524 2.524 -8.878
Sr Bi O
4 2 1
direct
0.000 0.000 0.000
0.164 0.664 0.500
0.336 0.336 0.000
0.664 0.164 0.500
0.526 0.526 0.000
0.803 0.803 0.000
0.156 0.156 0.000
```